1.
Starting from a PBE-relaxed structure, the powder diffraction line list of Cu2Si2Pb7S4O26 was simulated for Cu Kα X-rays.
Kinematic intensities with the Lorentz-polarization factor, no thermal factor.

Peak list (10 most intense, 15 to 90 degrees two-theta, in order of rising 2θ)
| d (Å) | I/Imax |
| --- | --- |
| 4.845 | 21 |
| 4.794 | 59 |
| 3.276 | 26 |
| 3.249 | 26 |
| 3.230 | 33 |
| 3.191 | 20 |
| 3.170 | 100 |
| 2.854 | 39 |
| 2.779 | 47 |
| 2.206 | 36 |

Cell and atoms:
```
data_Cu2Si2Pb7S4O26
_space_group_name_H-M_alt 'P 1'
_space_group_IT_number 1
_cell_length_a 10.809
_cell_length_b 10.809
_cell_length_c 9.692
_cell_angle_alpha 90.74
_cell_angle_beta 90.74
_cell_angle_gamma 30.63
loop_
_space_group_symop_operation_xyz
'x,y,z'
loop_
_atom_site_label
_atom_site_type_symbol
_atom_site_fract_x
_atom_site_fract_y
_atom_site_fract_z
Cu1 Cu 0.000 0.500 0.000
Cu2 Cu 0.500 0.000 0.000
Si1 Si 0.106 0.106 0.006
Si2 Si 0.894 0.894 0.994
Pb1 Pb 0.025 0.025 0.284
Pb2 Pb 0.156 0.156 0.664
Pb3 Pb 0.353 0.353 0.749
Pb4 Pb 0.500 0.500 0.000
Pb5 Pb 0.647 0.647 0.251
Pb6 Pb 0.844 0.844 0.336
Pb7 Pb 0.975 0.975 0.716
S1 S 0.232 0.232 0.346
S2 S 0.433 0.433 0.347
S3 S 0.567 0.567 0.653
S4 S 0.768 0.768 0.654
O1 O 0.029 0.457 0.257
O2 O 0.071 0.071 0.854
O3 O 0.140 0.689 0.899
O4 O 0.163 0.163 0.387
O5 O 0.187 0.187 0.976
O6 O 0.214 0.647 0.435
O7 O 0.275 0.275 0.466
O8 O 0.304 0.304 0.973
O9 O 0.311 0.860 0.101
O10 O 0.353 0.786 0.565
O11 O 0.381 0.381 0.244
O12 O 0.457 0.029 0.257
O13 O 0.498 0.498 0.276
O14 O 0.502 0.502 0.724
O15 O 0.543 0.971 0.743
O16 O 0.619 0.619 0.756
O17 O 0.647 0.214 0.435
O18 O 0.689 0.140 0.899
O19 O 0.696 0.696 0.027
O20 O 0.725 0.725 0.534
O21 O 0.786 0.353 0.565
O22 O 0.813 0.813 0.024
O23 O 0.837 0.837 0.613
O24 O 0.860 0.311 0.101
O25 O 0.929 0.929 0.146
O26 O 0.971 0.543 0.743
```


2.
Starting from a PBE-relaxed structure, the powder diffraction line list of Sm2CuPbO5 was simulated for Cu Kα X-rays.
Kinematic intensities with the Lorentz-polarization factor, no thermal factor.

Peak list (10 most intense, 15 to 90 degrees two-theta, in order of rising 2θ)
| d (Å) | I/Imax |
| --- | --- |
| 4.737 | 35 |
| 3.188 | 44 |
| 2.996 | 15 |
| 2.965 | 100 |
| 2.712 | 37 |
| 2.369 | 23 |
| 2.183 | 31 |
| 2.010 | 30 |
| 1.901 | 23 |
| 1.795 | 23 |

Cell and atoms:
```
data_Sm2CuPbO5
_space_group_name_H-M_alt 'P 1'
_space_group_IT_number 1
_cell_length_a 6.699
_cell_length_b 6.699
_cell_length_c 6.377
_cell_angle_alpha 90.00
_cell_angle_beta 90.00
_cell_angle_gamma 90.00
loop_
_space_group_symop_operation_xyz
'x,y,z'
loop_
_atom_site_label
_atom_site_type_symbol
_atom_site_fract_x
_atom_site_fract_y
_atom_site_fract_z
Sm1 Sm 0.175 0.325 0.000
Sm2 Sm 0.325 0.825 0.000
Sm3 Sm 0.675 0.175 0.000
Sm4 Sm 0.825 0.675 0.000
Cu1 Cu 0.000 0.000 0.500
Cu2 Cu 0.500 0.500 0.500
Pb1 Pb 0.000 0.500 0.500
Pb2 Pb 0.500 0.000 0.500
O1 O 0.000 0.000 0.000
O2 O 0.143 0.643 0.230
O3 O 0.143 0.643 0.770
O4 O 0.357 0.143 0.230
O5 O 0.357 0.143 0.770
O6 O 0.500 0.500 0.000
O7 O 0.643 0.857 0.230
O8 O 0.643 0.857 0.770
O9 O 0.857 0.357 0.230
O10 O 0.857 0.357 0.770
```


3.
Starting from a PBE-relaxed structure, the powder diffraction line list of Sr2SmCu3Pb2O8 was simulated for Cu Kα X-rays.
Kinematic intensities with the Lorentz-polarization factor, no thermal factor.

Peak list (10 most intense, 15 to 90 degrees two-theta, in order of rising 2θ)
| d (Å) | I/Imax |
| --- | --- |
| 3.749 | 27 |
| 3.208 | 10 |
| 2.780 | 100 |
| 2.727 | 66 |
| 2.197 | 15 |
| 2.078 | 21 |
| 1.928 | 31 |
| 1.616 | 24 |
| 1.584 | 38 |
| 1.219 | 11 |

Cell and atoms:
```
data_Sr2SmCu3Pb2O8
_space_group_name_H-M_alt 'P 1'
_space_group_IT_number 1
_cell_length_a 3.856
_cell_length_b 3.856
_cell_length_c 16.042
_cell_angle_alpha 90.00
_cell_angle_beta 90.00
_cell_angle_gamma 90.00
loop_
_space_group_symop_operation_xyz
'x,y,z'
loop_
_atom_site_label
_atom_site_type_symbol
_atom_site_fract_x
_atom_site_fract_y
_atom_site_fract_z
Sr1 Sr 0.000 0.000 0.222
Sr2 Sr 0.000 0.000 0.778
Sm1 Sm 0.000 0.000 0.000
Cu1 Cu 0.000 0.000 0.500
Cu2 Cu 0.500 0.500 0.107
Cu3 Cu 0.500 0.500 0.893
Pb1 Pb 0.500 0.500 0.388
Pb2 Pb 0.500 0.500 0.612
O1 O 0.000 0.000 0.384
O2 O 0.000 0.000 0.616
O3 O 0.000 0.500 0.095
O4 O 0.000 0.500 0.905
O5 O 0.500 0.000 0.095
O6 O 0.500 0.000 0.905
O7 O 0.500 0.500 0.252
O8 O 0.500 0.500 0.748
```


4.
Starting from a PBE-relaxed structure, the powder diffraction line list of Sr2YCu2PbO7 was simulated for Cu Kα X-rays.
Kinematic intensities with the Lorentz-polarization factor, no thermal factor.

Peak list (10 most intense, 15 to 90 degrees two-theta, in order of rising 2θ)
| d (Å) | I/Imax |
| --- | --- |
| 3.650 | 22 |
| 3.253 | 26 |
| 2.807 | 100 |
| 2.700 | 69 |
| 2.484 | 14 |
| 2.038 | 21 |
| 1.909 | 36 |
| 1.828 | 14 |
| 1.643 | 13 |
| 1.579 | 36 |

Cell and atoms:
```
data_Sr2YCu2PbO7
_space_group_name_H-M_alt 'P 1'
_space_group_IT_number 1
_cell_length_a 3.819
_cell_length_b 3.819
_cell_length_c 12.419
_cell_angle_alpha 90.00
_cell_angle_beta 90.00
_cell_angle_gamma 90.00
loop_
_space_group_symop_operation_xyz
'x,y,z'
loop_
_atom_site_label
_atom_site_type_symbol
_atom_site_fract_x
_atom_site_fract_y
_atom_site_fract_z
Sr1 Sr 0.000 0.000 0.213
Sr2 Sr 0.000 0.000 0.787
Y1 Y 0.000 0.000 0.500
Cu1 Cu 0.500 0.500 0.361
Cu2 Cu 0.500 0.500 0.639
Pb1 Pb 0.500 0.500 0.000
O1 O 0.000 0.000 0.000
O2 O 0.000 0.500 0.383
O3 O 0.000 0.500 0.617
O4 O 0.500 0.000 0.383
O5 O 0.500 0.000 0.617
O6 O 0.500 0.500 0.185
O7 O 0.500 0.500 0.815
```


5.
Starting from a PBE-relaxed structure, the powder diffraction line list of Sr2YCu3Pb2O8 was simulated for Cu Kα X-rays.
Kinematic intensities with the Lorentz-polarization factor, no thermal factor.

Peak list (10 most intense, 15 to 90 degrees two-theta, in order of rising 2θ)
| d (Å) | I/Imax |
| --- | --- |
| 3.745 | 42 |
| 2.780 | 96 |
| 2.761 | 100 |
| 2.735 | 67 |
| 2.714 | 66 |
| 2.076 | 29 |
| 1.926 | 61 |
| 1.587 | 19 |
| 1.583 | 37 |
| 1.572 | 20 |

Cell and atoms:
```
data_Sr2YCu3Pb2O8
_space_group_name_H-M_alt 'P 1'
_space_group_IT_number 1
_cell_length_a 15.951
_cell_length_b 5.469
_cell_length_c 5.428
_cell_angle_alpha 90.00
_cell_angle_beta 90.55
_cell_angle_gamma 90.00
loop_
_space_group_symop_operation_xyz
'x,y,z'
loop_
_atom_site_label
_atom_site_type_symbol
_atom_site_fract_x
_atom_site_fract_y
_atom_site_fract_z
Sr1 Sr 0.221 0.000 0.007
Sr2 Sr 0.221 0.500 0.507
Sr3 Sr 0.779 0.000 0.993
Sr4 Sr 0.779 0.500 0.493
Y1 Y 0.000 0.000 0.000
Y2 Y 0.000 0.500 0.500
Cu1 Cu 0.105 0.000 0.502
Cu2 Cu 0.105 0.500 0.002
Cu3 Cu 0.500 0.000 0.000
Cu4 Cu 0.500 0.500 0.500
Cu5 Cu 0.895 0.000 0.498
Cu6 Cu 0.895 0.500 0.998
Pb1 Pb 0.389 0.007 0.498
Pb2 Pb 0.389 0.493 0.998
Pb3 Pb 0.611 0.507 0.002
Pb4 Pb 0.611 0.993 0.502
O1 O 0.091 0.750 0.252
O2 O 0.091 0.750 0.752
O3 O 0.093 0.250 0.252
O4 O 0.093 0.250 0.752
O5 O 0.251 0.511 0.009
O6 O 0.251 0.989 0.509
O7 O 0.386 0.061 0.050
O8 O 0.386 0.439 0.550
O9 O 0.614 0.561 0.450
O10 O 0.614 0.939 0.950
O11 O 0.749 0.011 0.491
O12 O 0.749 0.489 0.991
O13 O 0.907 0.750 0.248
O14 O 0.907 0.750 0.748
O15 O 0.909 0.250 0.248
O16 O 0.909 0.250 0.748
```


6.
Starting from a PBE-relaxed structure, the powder diffraction line list of Sr2YCu3Pb2O8 was simulated for Cu Kα X-rays.
Kinematic intensities with the Lorentz-polarization factor, no thermal factor.

Peak list (10 most intense, 15 to 90 degrees two-theta, in order of rising 2θ)
| d (Å) | I/Imax |
| --- | --- |
| 3.731 | 21 |
| 2.796 | 36 |
| 2.763 | 72 |
| 2.753 | 38 |
| 2.721 | 100 |
| 2.081 | 15 |
| 1.931 | 23 |
| 1.916 | 24 |
| 1.574 | 31 |
| 1.360 | 14 |

Cell and atoms:
```
data_Sr2YCu3Pb2O8
_space_group_name_H-M_alt 'P 1'
_space_group_IT_number 1
_cell_length_a 3.862
_cell_length_b 3.833
_cell_length_c 15.949
_cell_angle_alpha 90.00
_cell_angle_beta 90.89
_cell_angle_gamma 90.00
loop_
_space_group_symop_operation_xyz
'x,y,z'
loop_
_atom_site_label
_atom_site_type_symbol
_atom_site_fract_x
_atom_site_fract_y
_atom_site_fract_z
Sr1 Sr 0.015 0.000 0.221
Sr2 Sr 0.985 0.000 0.779
Y1 Y 0.000 0.000 0.000
Cu1 Cu 0.000 0.000 0.500
Cu2 Cu 0.493 0.500 0.895
Cu3 Cu 0.507 0.500 0.105
Pb1 Pb 0.500 0.500 0.389
Pb2 Pb 0.500 0.500 0.611
O1 O 0.006 0.500 0.092
O2 O 0.087 0.000 0.385
O3 O 0.480 0.500 0.749
O4 O 0.494 0.000 0.909
O5 O 0.506 0.000 0.091
O6 O 0.520 0.500 0.251
O7 O 0.913 0.000 0.615
O8 O 0.994 0.500 0.908
```


7.
Starting from a PBE-relaxed structure, the powder diffraction line list of TaCuPbO5 was simulated for Cu Kα X-rays.
Kinematic intensities with the Lorentz-polarization factor, no thermal factor.

Peak list (10 most intense, 15 to 90 degrees two-theta, in order of rising 2θ)
| d (Å) | I/Imax |
| --- | --- |
| 4.976 | 17 |
| 3.461 | 60 |
| 3.068 | 48 |
| 2.838 | 100 |
| 2.565 | 18 |
| 2.488 | 18 |
| 2.097 | 16 |
| 1.856 | 12 |
| 1.723 | 18 |
| 1.628 | 16 |

Cell and atoms:
```
data_TaCuPbO5
_space_group_name_H-M_alt 'P 1'
_space_group_IT_number 1
_cell_length_a 5.823
_cell_length_b 5.823
_cell_length_c 7.600
_cell_angle_alpha 102.15
_cell_angle_beta 102.15
_cell_angle_gamma 110.87
loop_
_space_group_symop_operation_xyz
'x,y,z'
loop_
_atom_site_label
_atom_site_type_symbol
_atom_site_fract_x
_atom_site_fract_y
_atom_site_fract_z
Ta1 Ta 0.000 0.000 0.000
Ta2 Ta 0.000 0.000 0.500
Cu1 Cu 0.324 0.676 0.750
Cu2 Cu 0.676 0.324 0.250
Pb1 Pb 0.328 0.672 0.250
Pb2 Pb 0.672 0.328 0.750
O1 O 0.058 0.942 0.250
O2 O 0.128 0.730 0.914
O3 O 0.270 0.872 0.586
O4 O 0.279 0.358 0.582
O5 O 0.358 0.279 0.082
O6 O 0.642 0.721 0.918
O7 O 0.721 0.642 0.418
O8 O 0.730 0.128 0.414
O9 O 0.872 0.270 0.086
O10 O 0.942 0.058 0.750
```


8.
Starting from a PBE-relaxed structure, the powder diffraction line list of Cu2TePbO2 was simulated for Cu Kα X-rays.
Kinematic intensities with the Lorentz-polarization factor, no thermal factor.

Peak list (10 most intense, 15 to 90 degrees two-theta, in order of rising 2θ)
| d (Å) | I/Imax |
| --- | --- |
| 3.563 | 56 |
| 3.120 | 66 |
| 3.021 | 100 |
| 2.853 | 25 |
| 2.679 | 66 |
| 2.429 | 25 |
| 2.385 | 30 |
| 2.332 | 41 |
| 1.806 | 34 |
| 1.781 | 34 |

Cell and atoms:
```
data_Cu2TePbO2
_space_group_name_H-M_alt 'P 1'
_space_group_IT_number 1
_cell_length_a 5.321
_cell_length_b 5.358
_cell_length_c 7.512
_cell_angle_alpha 90.00
_cell_angle_beta 103.13
_cell_angle_gamma 90.00
loop_
_space_group_symop_operation_xyz
'x,y,z'
loop_
_atom_site_label
_atom_site_type_symbol
_atom_site_fract_x
_atom_site_fract_y
_atom_site_fract_z
Cu1 Cu 0.050 0.250 0.218
Cu2 Cu 0.304 0.750 0.124
Cu3 Cu 0.696 0.250 0.876
Cu4 Cu 0.950 0.750 0.782
Te1 Te 0.215 0.250 0.908
Te2 Te 0.785 0.750 0.092
Pb1 Pb 0.319 0.750 0.576
Pb2 Pb 0.681 0.250 0.424
O1 O 0.324 0.001 0.328
O2 O 0.324 0.499 0.328
O3 O 0.676 0.501 0.672
O4 O 0.676 0.999 0.672
```